Structure and simulated powder XRD pattern of Li13Fe2O12 (the GGA+U geometry in Alexandria; Cu Kα (λ = 1.5418 Å)).
Peak positions follow from Bragg's law for the DFT cell and can differ from measured ones.

Structural model:
```
data_Li13Fe2O12
_chemical_formula_sum 'Li13 Fe2 O12'
_cell_length_a 5.571
_cell_length_b 5.604
_cell_length_c 8.021
_cell_angle_alpha 90.29
_cell_angle_beta 90.29
_cell_angle_gamma 90.01
_symmetry_space_group_name_H-M 'P 1'
_symmetry_Int_Tables_number 1
_symmetry_space_group_name_Hall 'P 1'
loop_
_atom_site_label
_atom_site_fract_x
_atom_site_fract_y
_atom_site_fract_z
_atom_site_occupancy
Li1 0.000 0.000 0.000 1
Li2 0.026 0.328 0.581 1
Li3 0.113 0.415 0.894 1
Li4 0.156 0.110 0.299 1
Li5 0.225 0.759 0.551 1
Li6 0.334 0.774 0.841 1
Li7 0.459 0.183 0.808 1
Li8 0.515 0.916 0.113 1
Li9 0.549 0.460 0.463 1
Li10 0.624 0.989 0.419 1
Li11 0.694 0.536 0.776 1
Li12 0.727 0.383 0.117 1
Li13 0.945 0.692 0.308 1
Fe1 0.324 0.493 0.183 1
Fe2 0.841 0.946 0.692 1
O1 0.016 0.654 0.737 1
O2 0.054 0.314 0.114 1
O3 0.118 0.107 0.779 1
O4 0.183 0.786 0.134 1
O5 0.199 0.487 0.402 1
O6 0.454 0.470 0.958 1
O7 0.493 0.205 0.247 1
O8 0.564 0.769 0.618 1
O9 0.608 0.656 0.257 1
O10 0.683 0.950 0.901 1
O11 0.687 0.241 0.635 1
O12 0.970 0.959 0.472 1
```

Largest 10 diffraction maxima, most intense first, 2θ = 10–80°:
h k l	d/Å	I (rel.)
1 0 -1	4.592	100
1 -1 0	3.951	47
1 0 1	4.565	37
0 0 2	4.010	25
1 0 -3	2.416	20
1 -2 1	2.391	18
1 -3 0	1.772	16
2 1 1	2.377	16
1 1 2	2.803	11
1 2 1	2.384	9